(1)
# Al4Zn5
Computed powder X-ray diffraction pattern, Cu Kα (weighted mean of Kα1 and Kα2). Input: a structure optimized by DFT (PBE).
Lines closer than 0.1° are merged.

Atomic structure:
```
data_Al4Zn5
_cell_length_a 8.4721
_cell_length_b 8.4721
_cell_length_c 3.9674
_cell_angle_alpha 90.00
_cell_angle_beta 90.00
_cell_angle_gamma 90.00
_symmetry_space_group_name_H-M 'I 4/m m m'
_symmetry_Int_Tables_number 139
_symmetry_space_group_name_Hall '-I 4 2'
loop_
_atom_site_label
_atom_site_type_symbol
_atom_site_fract_x
_atom_site_fract_y
_atom_site_fract_z
Al1 Al 0.0000 0.3288 0.0000
Zn1 Zn 0.0000 0.0000 0.0000
Zn2 Zn 0.1656 0.1656 0.5000
```

Peak list (10 most intense, 2θ from 10° to 80°, in order of rising 2θ)
2θ/deg	d (Å)	I/Imax	index
14.79	5.991	21	1 1 0
29.83	2.995	3	2 2 0
32.68	2.740	11	2 1 1
39.15	2.301	100	3 0 1
45.42	1.997	32	3 3 0
45.74	1.984	16	0 0 2
49.99	1.825	4	4 1 1
66.18	1.412	10	6 0 0
66.43	1.407	20	3 3 2
79.67	1.203	23	6 3 1


(2)
# Pm2SbPb
Computed powder X-ray diffraction pattern, Cu Kα (weighted mean of Kα1 and Kα2). Input: a structure optimized by DFT (PBE).
Lines closer than 0.1° are merged.

Atomic structure:
```
data_Pm2SbPb
_cell_length_a 4.5941
_cell_length_b 24.6799
_cell_length_c 4.4849
_cell_angle_alpha 90.00
_cell_angle_beta 90.00
_cell_angle_gamma 90.00
_symmetry_space_group_name_H-M 'C m c m'
_symmetry_Int_Tables_number 63
_symmetry_space_group_name_Hall '-C 2c 2'
loop_
_atom_site_label
_atom_site_type_symbol
_atom_site_fract_x
_atom_site_fract_y
_atom_site_fract_z
Pm1 Pm 0.0000 0.0635 0.2500
Pm2 Pm 0.0000 0.3140 0.2500
Sb1 Sb 0.0000 0.1878 0.2500
Pb1 Pb 0.0000 0.4519 0.2500
```

Peak list (10 most intense, 2θ from 10° to 80°, in order of rising 2θ)
2θ/deg	d (Å)	I/Imax	index
28.04	3.182	100	1 1 1
28.94	3.085	56	0 8 0
29.89	2.990	25	1 3 1
33.30	2.691	25	1 5 1
37.91	2.373	77	1 7 1
39.22	2.297	30	2 0 0
40.22	2.242	28	0 0 2
49.47	1.842	25	2 8 0
50.30	1.814	24	0 8 2
65.58	1.424	22	2 8 2


(3)
# NaMgSO4F
Computed powder X-ray diffraction pattern, Cu Kα (weighted mean of Kα1 and Kα2). Input: a structure optimized by DFT (PBE).
Lines closer than 0.1° are merged.

Atomic structure:
```
data_NaMgSO4F
_cell_length_a 6.7676
_cell_length_b 8.6718
_cell_length_c 7.1675
_cell_angle_alpha 90.00
_cell_angle_beta 114.30
_cell_angle_gamma 90.00
_symmetry_space_group_name_H-M 'C 1 2/c 1'
_symmetry_Int_Tables_number 15
_symmetry_space_group_name_Hall '-C 2yc'
loop_
_atom_site_label
_atom_site_type_symbol
_atom_site_fract_x
_atom_site_fract_y
_atom_site_fract_z
Na1 Na 0.0000 0.1704 0.2500
Mg1 Mg 0.0000 0.5000 0.0000
S1 S 0.0000 0.1763 0.7500
O1 O 0.0944 0.2750 0.6360
O2 O 0.1697 0.0742 0.8973
F1 F 0.0000 0.4221 0.2500
```

Peak list (10 most intense, 2θ from 10° to 80°, in order of rising 2θ)
2θ/deg	d (Å)	I/Imax	index
18.31	4.846	43	1 1 -1
24.64	3.613	34	0 2 1
27.12	3.289	85	1 1 -2
27.30	3.266	28	0 0 2
28.95	3.084	100	2 0 0
30.60	2.921	27	2 0 -2
34.26	2.617	62	1 3 0
34.37	2.609	43	0 2 2
39.24	2.296	47	1 3 1
52.88	1.731	30	2 2 2


(4)
# TlCd2C
Computed powder X-ray diffraction pattern, Cu Kα (weighted mean of Kα1 and Kα2). Input: a structure optimized by DFT (PBE).
Lines closer than 0.1° are merged.

Atomic structure:
```
data_TlCd2C
_cell_length_a 6.9063
_cell_length_b 6.9063
_cell_length_c 9.7217
_cell_angle_alpha 90.00
_cell_angle_beta 90.00
_cell_angle_gamma 90.00
_symmetry_space_group_name_H-M 'I 41/a m d'
_symmetry_Int_Tables_number 141
loop_
_symmetry_equiv_pos_as_xyz
'x,y,z'
'-x,-y,-z'
'-y+1/4,x+3/4,z+1/4'
'y+1/4,-x+3/4,-z+1/4'
'-x+1/2,-y,z+1/2'
'x+1/2,y,-z+1/2'
'y+1/4,-x+1/4,z+3/4'
'-y+1/4,x+1/4,-z+3/4'
'x,-y,-z'
'-x,y,z'
'-y+1/4,-x+1/4,-z+3/4'
'y+1/4,x+1/4,z+3/4'
'-x+1/2,y,-z+1/2'
'x+1/2,-y,z+1/2'
'y+1/4,x+3/4,-z+1/4'
'-y+1/4,-x+3/4,z+1/4'
'x+1/2,y+1/2,z+1/2'
'-x+1/2,-y+1/2,-z+1/2'
'-y+3/4,x+1/4,z+3/4'
'y+3/4,-x+1/4,-z+3/4'
'-x,-y+1/2,z'
'x,y+1/2,-z'
'y+3/4,-x+3/4,z+1/4'
'-y+3/4,x+3/4,-z+1/4'
'x+1/2,-y+1/2,-z+1/2'
'-x+1/2,y+1/2,z+1/2'
'-y+3/4,-x+3/4,-z+1/4'
'y+3/4,x+3/4,z+1/4'
'-x,y+1/2,-z'
'x,-y+1/2,z'
'y+3/4,x+1/4,-z+3/4'
'-y+3/4,-x+1/4,z+3/4'
loop_
_atom_site_label
_atom_site_type_symbol
_atom_site_fract_x
_atom_site_fract_y
_atom_site_fract_z
Tl1 Tl 0.0000 0.2500 0.3750
Cd1 Cd 0.0000 0.0000 0.0000
C1 C 0.0000 0.2500 0.8750
```

Peak list (10 most intense, 2θ from 10° to 80°, in order of rising 2θ)
2θ/deg	d (Å)	I/Imax	index
25.84	3.448	81	2 0 0
30.37	2.944	100	2 1 1
30.47	2.934	50	1 0 3
31.79	2.815	38	2 0 2
45.53	1.992	24	3 1 2
48.46	1.878	41	3 2 1
48.65	1.872	14	1 0 5
53.04	1.727	16	4 0 0
53.17	1.723	32	2 2 4
74.68	1.271	19	5 2 1


(5)
# La8PmEr5
Computed powder X-ray diffraction pattern, Cu Kα (weighted mean of Kα1 and Kα2). Input: a structure optimized by DFT (PBE).
Lines closer than 0.1° are merged.

Atomic structure:
```
data_La8PmEr5
_cell_length_a 9.7502
_cell_length_b 9.7502
_cell_length_c 10.4717
_cell_angle_alpha 90.00
_cell_angle_beta 90.00
_cell_angle_gamma 90.00
_symmetry_space_group_name_H-M 'I -4'
_symmetry_Int_Tables_number 82
_symmetry_space_group_name_Hall 'I -4'
loop_
_atom_site_label
_atom_site_type_symbol
_atom_site_fract_x
_atom_site_fract_y
_atom_site_fract_z
La1 La 0.0687 0.3294 0.0958
La2 La 0.0913 0.1832 0.7513
Pm1 Pm 0.0000 0.5000 0.7500
Er1 Er 0.0000 0.0000 0.0000
Er2 Er 0.1070 0.1996 0.4269
```

Peak list (10 most intense, 2θ from 10° to 80°, in order of rising 2θ)
2θ/deg	d (Å)	I/Imax	index
27.13	3.286	58	1 0 3
28.76	3.104	67	3 0 1
28.96	3.083	74	3 1 0
31.06	2.879	26	2 2 2
32.87	2.725	100	1 2 3
33.74	2.657	40	3 1 2
34.25	2.618	48	3 2 1
53.85	1.702	23	5 0 3
60.01	1.542	17	6 2 0
61.00	1.519	22	3 1 6


(6)
# Pm6Sm4Dy
Computed powder X-ray diffraction pattern, Cu Kα (weighted mean of Kα1 and Kα2). Input: a structure optimized by DFT (PBE).
Lines closer than 0.1° are merged.

Atomic structure:
```
data_Pm6Sm4Dy
_cell_length_a 6.6625
_cell_length_b 6.6625
_cell_length_c 17.3745
_cell_angle_alpha 90.00
_cell_angle_beta 90.00
_cell_angle_gamma 90.00
_symmetry_space_group_name_H-M 'I -4 2 m'
_symmetry_Int_Tables_number 121
_symmetry_space_group_name_Hall 'I -4 2'
loop_
_atom_site_label
_atom_site_type_symbol
_atom_site_fract_x
_atom_site_fract_y
_atom_site_fract_z
Pm1 Pm 0.0000 0.5000 0.0000
Pm2 Pm 0.1780 0.1780 0.1295
Sm1 Sm 0.1882 0.1882 0.3236
Dy1 Dy 0.0000 0.0000 0.5000
```

Peak list (10 most intense, 2θ from 10° to 80°, in order of rising 2θ)
2θ/deg	d (Å)	I/Imax	index
27.94	3.193	36	1 1 4
28.70	3.110	68	2 0 2
28.98	3.081	29	1 0 5
30.44	2.937	100	2 1 1
30.88	2.896	32	0 0 6
33.90	2.644	84	2 0 4
36.42	2.467	29	1 1 6
39.85	2.262	37	2 1 5
56.42	1.631	36	1 1 10
57.26	1.609	29	4 1 1


(7)
# PrZn3Br9
Computed powder X-ray diffraction pattern, Cu Kα (weighted mean of Kα1 and Kα2). Input: a structure optimized by DFT (PBE).
Lines closer than 0.1° are merged.

Atomic structure:
```
data_PrZn3Br9
_cell_length_a 19.0561
_cell_length_b 9.4593
_cell_length_c 13.6619
_cell_angle_alpha 90.00
_cell_angle_beta 129.60
_cell_angle_gamma 90.00
_symmetry_space_group_name_H-M 'C 1 c 1'
_symmetry_Int_Tables_number 9
_symmetry_space_group_name_Hall 'C -2yc'
loop_
_atom_site_label
_atom_site_type_symbol
_atom_site_fract_x
_atom_site_fract_y
_atom_site_fract_z
Pr1 Pr 0.0000 0.2288 0.0000
Zn1 Zn 0.1466 0.1176 0.8323
Zn2 Zn 0.2291 0.4178 0.7066
Zn3 Zn 0.3558 0.0770 0.6655
Br1 Br 0.0176 0.0782 0.8267
Br2 Br 0.1157 0.3445 0.7260
Br3 Br 0.1549 0.0742 0.2199
Br4 Br 0.1585 0.3808 0.0587
Br5 Br 0.2339 0.2499 0.5737
Br6 Br 0.3027 0.1360 0.0346
Br7 Br 0.3679 0.4949 0.9140
Br8 Br 0.4071 0.0034 0.3737
Br9 Br 0.4835 0.1860 0.6926
```

Peak list (10 most intense, 2θ from 10° to 80°, in order of rising 2θ)
2θ/deg	d (Å)	I/Imax	index
16.12	5.498	100	1 1 1
17.63	5.030	45	3 1 -2
21.75	4.086	24	3 1 -3
25.31	3.519	79	5 1 -2
26.24	3.397	25	3 1 1
27.49	3.245	68	2 2 -3
30.83	2.900	28	4 2 0
37.70	2.386	42	7 1 -5
39.22	2.297	30	7 1 -1
40.38	2.233	23	8 0 -2


(8)
# AcLa2TbPr5
Computed powder X-ray diffraction pattern, Cu Kα (weighted mean of Kα1 and Kα2). Input: a structure optimized by DFT (PBE).
Lines closer than 0.1° are merged.

Atomic structure:
```
data_AcLa2TbPr5
_cell_length_a 9.0785
_cell_length_b 9.0785
_cell_length_c 16.1869
_cell_angle_alpha 90.00
_cell_angle_beta 90.00
_cell_angle_gamma 90.00
_symmetry_space_group_name_H-M 'I 4/m c m'
_symmetry_Int_Tables_number 140
_symmetry_space_group_name_Hall '-I 4 2c'
loop_
_atom_site_label
_atom_site_type_symbol
_atom_site_fract_x
_atom_site_fract_y
_atom_site_fract_z
Ac1 Ac 0.0000 0.0000 0.2500
La1 La 0.1177 0.3823 0.0000
Tb1 Tb 0.0000 0.5000 0.2500
Pr1 Pr 0.0000 0.0000 0.0000
Pr2 Pr 0.2108 0.2892 0.3628
```

Peak list (10 most intense, 2θ from 10° to 80°, in order of rising 2θ)
2θ/deg	d (Å)	I/Imax	index
27.49	3.244	38	2 1 3
27.79	3.210	52	2 2 0
29.57	3.021	100	2 0 4
31.15	2.871	15	3 1 0
35.46	2.531	10	2 1 5
36.10	2.488	14	3 2 1
41.34	2.184	20	4 0 2
44.79	2.023	12	0 0 8
50.28	1.815	25	4 2 4
53.54	1.712	14	2 2 8


(9)
# HfNp2Tl3S6
Computed powder X-ray diffraction pattern, Cu Kα (weighted mean of Kα1 and Kα2). Input: a structure optimized by DFT (PBE).
Lines closer than 0.1° are merged.

Atomic structure:
```
data_HfNp2Tl3S6
_cell_length_a 6.8211
_cell_length_b 11.7839
_cell_length_c 7.9682
_cell_angle_alpha 90.00
_cell_angle_beta 106.53
_cell_angle_gamma 90.00
_symmetry_space_group_name_H-M 'C 1 2/m 1'
_symmetry_Int_Tables_number 12
_symmetry_space_group_name_Hall '-C 2y'
loop_
_atom_site_label
_atom_site_type_symbol
_atom_site_fract_x
_atom_site_fract_y
_atom_site_fract_z
Hf1 Hf 0.0000 0.0000 0.0000
Np1 Np 0.0000 0.3340 0.0000
Tl1 Tl 0.0000 0.1721 0.5000
Tl2 Tl 0.0000 0.5000 0.5000
S1 S 0.2204 0.1570 0.1899
S2 S 0.2481 0.0000 0.8055
```

Peak list (10 most intense, 2θ from 10° to 80°, in order of rising 2θ)
2θ/deg	d (Å)	I/Imax	index
23.29	3.819	38	0 0 2
27.32	3.265	71	2 0 0
30.53	2.928	100	2 0 -2
41.18	2.192	41	2 0 2
46.16	1.967	33	3 3 -1
47.84	1.901	21	2 0 -4
52.30	1.749	19	3 3 1
56.40	1.631	12	2 6 -2
63.55	1.464	11	4 0 -4
68.46	1.370	11	3 3 3


(10)
# Sc2PaTiN4
Computed powder X-ray diffraction pattern, Cu Kα (weighted mean of Kα1 and Kα2). Input: a structure optimized by DFT (PBE).
Lines closer than 0.1° are merged.

Atomic structure:
```
data_Sc2PaTiN4
_cell_length_a 5.6035
_cell_length_b 3.2484
_cell_length_c 5.6306
_cell_angle_alpha 90.00
_cell_angle_beta 108.79
_cell_angle_gamma 90.00
_symmetry_space_group_name_H-M 'P 1 2/m 1'
_symmetry_Int_Tables_number 10
_symmetry_space_group_name_Hall '-P 2y'
loop_
_atom_site_label
_atom_site_type_symbol
_atom_site_fract_x
_atom_site_fract_y
_atom_site_fract_z
Sc1 Sc 0.0000 0.0000 0.0000
Sc2 Sc 0.5000 0.5000 0.0000
Pa1 Pa 0.0000 0.5000 0.5000
Ti1 Ti 0.5000 0.0000 0.5000
N1 N 0.2595 0.5000 0.2574
N2 N 0.2651 0.0000 0.7575
```

Peak list (10 most intense, 2θ from 10° to 80°, in order of rising 2θ)
2θ/deg	d (Å)	I/Imax	index
16.67	5.318	100	0 0 1
19.44	4.567	35	1 0 -1
27.27	3.270	16	1 0 1
32.29	2.772	45	1 1 0
33.63	2.665	29	0 0 2
33.84	2.649	85	2 0 0
39.09	2.305	69	1 1 1
39.46	2.283	34	2 0 -2
56.65	1.625	33	0 2 0
56.86	1.619	22	3 1 -1


(11)
# Tb3Dy6Y2
Computed powder X-ray diffraction pattern, Cu Kα (weighted mean of Kα1 and Kα2). Input: a structure optimized by DFT (PBE).
Lines closer than 0.1° are merged.

Atomic structure:
```
data_Tb3Dy6Y2
_cell_length_a 3.5537
_cell_length_b 3.5537
_cell_length_c 95.5061
_cell_angle_alpha 90.00
_cell_angle_beta 90.00
_cell_angle_gamma 120.00
_symmetry_space_group_name_H-M 'R -3 m'
_symmetry_Int_Tables_number 166
_symmetry_space_group_name_Hall '-R 3 2"'
loop_
_atom_site_label
_atom_site_type_symbol
_atom_site_fract_x
_atom_site_fract_y
_atom_site_fract_z
Tb1 Tb 0.0000 0.0000 0.0000
Tb2 Tb 0.0000 0.0000 0.2728
Dy1 Dy 0.0000 0.0000 0.0908
Dy2 Dy 0.0000 0.0000 0.1817
Dy3 Dy 0.0000 0.0000 0.3636
Y1 Y 0.0000 0.0000 0.4545
```

Peak list (10 most intense, 2θ from 10° to 80°, in order of rising 2θ)
2θ/deg	d (Å)	I/Imax	index
11.12	7.959	2	0 0 12
29.05	3.074	1	1 0 1
30.84	2.899	100	0 1 11
35.76	2.511	51	1 0 22
51.47	1.775	36	1 1 0
61.20	1.515	32	2 0 11
61.29	1.512	11	1 0 55
64.22	1.450	9	0 2 22
64.38	1.447	3	0 0 66
75.77	1.255	6	2 0 44


(12)
# Ca2GaGe
Computed powder X-ray diffraction pattern, Cu Kα (weighted mean of Kα1 and Kα2). Input: a structure optimized by DFT (PBE).
Lines closer than 0.1° are merged.

Atomic structure:
```
data_Ca2GaGe
_cell_length_a 5.9741
_cell_length_b 4.1645
_cell_length_c 8.7052
_cell_angle_alpha 90.00
_cell_angle_beta 107.45
_cell_angle_gamma 90.00
_symmetry_space_group_name_H-M 'P 1 21/m 1'
_symmetry_Int_Tables_number 11
_symmetry_space_group_name_Hall '-P 2yb'
loop_
_atom_site_label
_atom_site_type_symbol
_atom_site_fract_x
_atom_site_fract_y
_atom_site_fract_z
Ca1 Ca 0.2053 0.2500 0.4274
Ca2 Ca 0.2862 0.7500 0.0671
Ga1 Ga 0.3615 0.7500 0.7138
Ge1 Ge 0.1472 0.2500 0.7852
```

Peak list (10 most intense, 2θ from 10° to 80°, in order of rising 2θ)
2θ/deg	d (Å)	I/Imax	index
16.01	5.537	38	1 0 -1
21.40	4.153	40	0 0 2
30.40	2.941	92	1 1 1
31.40	2.849	29	1 0 -3
38.28	2.351	100	2 1 0
39.07	2.306	42	2 1 -2
40.26	2.240	34	1 0 3
43.46	2.082	27	0 2 0
57.35	1.607	26	1 1 -5
60.73	1.525	19	1 2 3


(13)
# Ho12Ni6Ag
Computed powder X-ray diffraction pattern, Cu Kα (weighted mean of Kα1 and Kα2). Input: a structure optimized by DFT (PBE).
Lines closer than 0.1° are merged.

Atomic structure:
```
data_Ho12Ni6Ag
_cell_length_a 9.6174
_cell_length_b 9.6174
_cell_length_c 9.6174
_cell_angle_alpha 90.00
_cell_angle_beta 90.00
_cell_angle_gamma 90.00
_symmetry_space_group_name_H-M 'I m -3'
_symmetry_Int_Tables_number 204
_symmetry_space_group_name_Hall '-I 2 2 3'
loop_
_atom_site_label
_atom_site_type_symbol
_atom_site_fract_x
_atom_site_fract_y
_atom_site_fract_z
Ho1 Ho 0.0000 0.1863 0.3026
Ni1 Ni 0.0000 0.3752 0.5000
Ag1 Ag 0.0000 0.0000 0.0000
```

Peak list (10 most intense, 2θ from 10° to 80°, in order of rising 2θ)
2θ/deg	d (Å)	I/Imax	index
29.37	3.041	43	3 1 0
32.24	2.776	39	2 2 2
34.91	2.570	100	3 2 1
37.40	2.404	15	4 0 0
39.76	2.267	11	3 3 0
48.25	1.886	18	5 1 0
55.73	1.649	35	5 0 3
57.50	1.603	13	6 0 0
59.23	1.560	35	5 3 2
69.06	1.360	17	5 4 3